(1)
Simulated powder diffraction line list of Sc3GaNi8 for λ = 1.5418 Å (Cu Kα), from a crystal structure in OQMD, relaxed with GGA-PBE.
Neutral-atom scattering factors, no anomalous dispersion.

Cell: 8.3956 8.3956 8.3956 Å, 33.48 33.48 33.48°
Sites, in units of the cell vectors:
Sc 0.0000 0.0000 0.0000
Sc 0.1282 0.1282 0.1282
Sc 0.5109 0.5109 0.5109
Ga 0.6338 0.6338 0.6338
Ni 0.0662 0.5669 0.5669
Ni 0.0676 0.0676 0.5652
Ni 0.0676 0.5652 0.0676
Ni 0.3164 0.3164 0.3164
Ni 0.5652 0.0676 0.0676
Ni 0.5669 0.0662 0.5669
Ni 0.5669 0.5669 0.0662
Ni 0.8164 0.8164 0.8164

Largest 6 diffraction maxima, in order of rising 2θ, 15 to 90 degrees two-theta:
d 3.952, I 17; d 2.420, I 21; d 2.064, I 100; d 1.979, I 13; d 1.975, I 36; d 1.317, I 20

***

(2)
Simulated powder diffraction line list of SrHf7O15 for λ = 1.5418 Å (Cu Kα), from a crystal structure in OQMD, relaxed with GGA-PBE.
Neutral-atom scattering factors, no anomalous dispersion.

Cell: 7.3204 7.3402 10.2021 Å, 88.37 88.32 89.99°
Sites, in units of the cell vectors:
Sr 0.0048 0.2536 0.2419
Sr 0.9952 0.7464 0.7581
Hf 0.0053 0.2462 0.7443
Hf 0.2411 0.5217 0.4875
Hf 0.2445 0.0124 0.4956
Hf 0.2640 0.0205 0.9941
Hf 0.2726 0.4832 0.9996
Hf 0.4818 0.2450 0.7396
Hf 0.4967 0.7275 0.7326
Hf 0.5033 0.2725 0.2674
Hf 0.5182 0.7550 0.2604
Hf 0.7274 0.5168 0.0004
Hf 0.7360 0.9795 0.0059
Hf 0.7555 0.9876 0.5044
Hf 0.7589 0.4783 0.5125
Hf 0.9947 0.7538 0.2557
O 0.0290 0.4759 0.6170
O 0.0301 0.9766 0.3819
O 0.0467 0.9581 0.1159
O 0.0686 0.5544 0.1174
O 0.2358 0.2643 0.8737
O 0.2512 0.1979 0.6389
O 0.2573 0.7104 0.3337
O 0.2688 0.2842 0.3887
O 0.2695 0.7714 0.5992
O 0.2858 0.7534 0.8900
O 0.3031 0.2385 0.1173
O 0.4551 0.4909 0.6253
O 0.4658 0.0047 0.3615
O 0.4661 0.9189 0.1055
O 0.4760 0.5317 0.1287
O 0.5240 0.4683 0.8713
O 0.5339 0.0811 0.8945
O 0.5342 0.9953 0.6385
O 0.5449 0.5091 0.3747
O 0.6969 0.7615 0.8827
O 0.7142 0.2466 0.1100
O 0.7305 0.2286 0.4008
O 0.7312 0.7158 0.6113
O 0.7427 0.2896 0.6663
O 0.7488 0.8021 0.3611
O 0.7642 0.7357 0.1263
O 0.9314 0.4456 0.8826
O 0.9533 0.0419 0.8841
O 0.9699 0.0234 0.6181
O 0.9710 0.5241 0.3830

Largest 6 diffraction maxima, in order of rising 2θ, 15 to 90 degrees two-theta:
d 3.016, I 100; d 2.935, I 94; d 2.591, I 46; d 2.548, I 21; d 1.855, I 15; d 1.817, I 28

***

(3)
Simulated powder diffraction line list of AlReSi6Au for λ = 1.5418 Å (Cu Kα), from a crystal structure in OQMD, relaxed with GGA-PBE.
Neutral-atom scattering factors, no anomalous dispersion.

Cell: 6.7765 6.7765 6.7765 Å, 60.00 60.00 60.00°
Sites, in units of the cell vectors:
Al 0.0000 0.0000 0.0000
Re 0.2500 0.2500 0.2500
Si 0.0051 0.0051 0.4949
Si 0.0051 0.4949 0.0051
Si 0.0051 0.4949 0.4949
Si 0.4949 0.0051 0.0051
Si 0.4949 0.0051 0.4949
Si 0.4949 0.4949 0.0051
Au 0.7500 0.7500 0.7500

Largest 6 diffraction maxima, in order of rising 2θ, 15 to 90 degrees two-theta:
d 4.792, I 100; d 3.388, I 62; d 2.396, I 34; d 2.143, I 49; d 1.956, I 28; d 1.597, I 25

***

(4)
Simulated powder diffraction line list of CdSeO4 for λ = 1.5418 Å (Cu Kα), from a crystal structure in OQMD, relaxed with GGA-PBE.
Neutral-atom scattering factors, no anomalous dispersion.

Cell: 6.7119 4.8596 4.9330 Å, 90.00 90.00 90.00°
Sites, in units of the cell vectors:
Cd 0.0000 0.1311 0.0000
Cd 0.5000 0.8689 0.5000
Se 0.0000 0.6558 0.4756
Se 0.5000 0.3442 0.9756
O 0.0000 0.3190 0.4165
O 0.0000 0.6945 0.8114
O 0.1950 0.8088 0.3239
O 0.3050 0.1912 0.8239
O 0.5000 0.3055 0.3114
O 0.5000 0.6810 0.9165
O 0.6950 0.1912 0.8239
O 0.8050 0.8088 0.3239

Largest 6 diffraction maxima, in order of rising 2θ, 15 to 90 degrees two-theta:
d 3.462, I 93; d 3.356, I 84; d 3.077, I 100; d 2.410, I 51; d 2.285, I 45; d 1.677, I 46